# 1
Calculated XRD peak list
Compound: Er8In2Ir3
Radiation: Cu Kα
Structure: a DFT-relaxed cell (PBE, Alexandria)
Intensities are scaled so that the largest is 100.

Crystal structure
Unit cell a=8.7413 b=8.7413 c=4.8921 alpha=90.00 beta=90.00 gamma=111.86
Fractional positions:
Er 0.1109 0.8891 0.0000
Er 0.1404 0.3655 0.5000
Er 0.3655 0.1404 0.5000
Er 0.3864 0.6136 0.0000
Er 0.6136 0.3864 0.0000
Er 0.6345 0.8596 0.5000
Er 0.8596 0.6345 0.5000
Er 0.8891 0.1109 0.0000
In 0.2451 0.7549 0.5000
In 0.7549 0.2451 0.5000
Ir 0.2475 0.2475 0.0000
Ir 0.5000 0.5000 0.5000
Ir 0.7525 0.7525 0.0000

Peak list (6 most intense, 2θ from 5° to 70°, low angle first)
Position (°2θ), I_rel
12.22, 22
21.92, 15
35.90, 100
36.72, 50
52.91, 18
65.60, 35

# 2
Calculated XRD peak list
Compound: Er3In4Ir4
Radiation: Cu Kα
Structure: a DFT-relaxed cell (PBE, Alexandria)
Intensities are scaled so that the largest is 100.

Crystal structure
Unit cell a=8.6519 b=8.6519 c=8.6519 alpha=153.49 beta=125.08 gamma=61.99
Fractional positions:
Er 0.0000 0.0000 0.0000
Er 0.3869 0.8869 0.5000
Er 0.6131 0.1131 0.5000
In 0.0277 0.3322 0.6955
In 0.3634 0.6678 0.6955
In 0.6366 0.3322 0.3045
In 0.9723 0.6678 0.3045
Ir 0.2360 0.2360 0.0000
Ir 0.3188 0.5000 0.8188
Ir 0.6812 0.5000 0.1812
Ir 0.7640 0.7640 0.0000

Peak list (6 most intense, 2θ from 5° to 70°, low angle first)
Position (°2θ), I_rel
32.39, 82
34.98, 100
38.43, 34
42.70, 34
45.76, 43
68.20, 24

# 3
Calculated XRD peak list
Compound: Er16In4Ir4O
Radiation: Cu Kα
Structure: a DFT-relaxed cell (PBE, Alexandria)
Intensities are scaled so that the largest is 100.

Crystal structure
Unit cell a=9.5545 b=9.5545 c=9.5545 alpha=60.00 beta=60.00 gamma=60.00
Fractional positions:
Er 0.1840 0.1840 0.8160
Er 0.1840 0.8160 0.1840
Er 0.1840 0.8160 0.8160
Er 0.4009 0.4009 0.4009
Er 0.4009 0.4009 0.7974
Er 0.4009 0.7974 0.4009
Er 0.5573 0.5573 0.9427
Er 0.5573 0.9427 0.5573
Er 0.5573 0.9427 0.9427
Er 0.7974 0.4009 0.4009
Er 0.8160 0.1840 0.1840
Er 0.8160 0.1840 0.8160
Er 0.8160 0.8160 0.1840
Er 0.9427 0.5573 0.5573
Er 0.9427 0.5573 0.9427
Er 0.9427 0.9427 0.5573
In 0.1666 0.1666 0.1666
In 0.1666 0.1666 0.5003
In 0.1666 0.5003 0.1666
In 0.5003 0.1666 0.1666
Ir 0.1727 0.6091 0.6091
Ir 0.6091 0.1727 0.6091
Ir 0.6091 0.6091 0.1727
Ir 0.6091 0.6091 0.6091
O 0.0000 0.0000 0.0000

Peak list (6 most intense, 2θ from 5° to 70°, low angle first)
Position (°2θ), I_rel
28.80, 16
32.46, 41
34.49, 100
37.66, 39
57.91, 40
59.22, 14

# 4
Calculated XRD peak list
Compound: ErPuInIr
Radiation: Cu Kα
Structure: a DFT-relaxed cell (PBE, Alexandria)
Intensities are scaled so that the largest is 100.

Crystal structure
Unit cell a=5.0601 b=5.0601 c=5.0601 alpha=60.00 beta=60.00 gamma=60.00
Fractional positions:
Er 0.0000 0.0000 0.0000
Pu 0.5000 0.5000 0.5000
In 0.7500 0.7500 0.7500
Ir 0.2500 0.2500 0.2500

Peak list (6 most intense, 2θ from 5° to 70°, low angle first)
Position (°2θ), I_rel
21.51, 4
24.89, 2
35.48, 100
41.87, 3
51.05, 18
63.71, 37

# 5
Calculated XRD peak list
Compound: K2ErInO4
Radiation: Cu Kα
Structure: a DFT-relaxed cell (PBE, Alexandria)
Intensities are scaled so that the largest is 100.

Crystal structure
Unit cell a=5.8771 b=3.4028 c=6.5555 alpha=90.00 beta=107.82 gamma=90.00
Fractional positions:
K 0.0000 0.0000 0.0000
K 0.5000 0.5000 0.0000
Er 0.0000 0.5000 0.5000
In 0.5000 0.0000 0.5000
O 0.2272 0.0000 0.6879
O 0.2745 0.5000 0.3135
O 0.7255 0.5000 0.6865
O 0.7728 0.0000 0.3121

Peak list (6 most intense, 2θ from 5° to 70°, low angle first)
Position (°2θ), I_rel
14.19, 100
28.61, 38
30.76, 34
31.82, 51
35.96, 37
36.10, 73

# 6
Calculated XRD peak list
Compound: La4Er5In
Radiation: Cu Kα
Structure: a DFT-relaxed cell (PBE, Alexandria)
Intensities are scaled so that the largest is 100.

Crystal structure
Unit cell a=8.2205 b=8.2205 c=8.2205 alpha=97.22 beta=97.22 gamma=138.47
Fractional positions:
La 0.0000 0.3073 0.3073
La 0.0000 0.6927 0.6927
La 0.3073 0.0000 0.3073
La 0.6927 0.0000 0.6927
Er 0.2116 0.2116 0.0000
Er 0.3177 0.3177 0.6342
Er 0.3177 0.6835 0.0000
Er 0.6835 0.3177 0.0000
Er 0.6835 0.6835 0.3658
In 0.7254 0.7254 0.0000

Peak list (6 most intense, 2θ from 5° to 70°, low angle first)
Position (°2θ), I_rel
29.02, 100
30.68, 15
34.99, 60
47.24, 15
53.52, 16
59.18, 17

# 7
Calculated XRD peak list
Compound: LaErIn4
Radiation: Cu Kα
Structure: a DFT-relaxed cell (PBE, Alexandria)
Intensities are scaled so that the largest is 100.

Crystal structure
Unit cell a=6.3705 b=6.3705 c=6.3705 alpha=136.01 beta=108.48 gamma=87.91
Fractional positions:
La 0.0000 0.0000 0.0000
Er 0.6118 0.1118 0.5000
In 0.1881 0.3898 0.7982
In 0.4210 0.7078 0.7132
In 0.5916 0.3898 0.2018
In 0.9947 0.7078 0.2868

Peak list (6 most intense, 2θ from 5° to 70°, low angle first)
Position (°2θ), I_rel
29.56, 47
30.94, 34
32.02, 100
34.85, 59
37.71, 38
58.08, 22

# 8
Calculated XRD peak list
Compound: La12ErIn3
Radiation: Cu Kα
Structure: a DFT-relaxed cell (PBE, Alexandria)
Intensities are scaled so that the largest is 100.

Crystal structure
Unit cell a=5.0825 b=5.0825 c=20.5382 alpha=90.00 beta=90.00 gamma=90.00
Fractional positions:
La 0.0000 0.0000 0.0000
La 0.0000 0.0000 0.2467
La 0.0000 0.0000 0.5000
La 0.0000 0.0000 0.7533
La 0.0000 0.5000 0.1235
La 0.0000 0.5000 0.3706
La 0.0000 0.5000 0.6294
La 0.0000 0.5000 0.8765
La 0.5000 0.0000 0.1235
La 0.5000 0.0000 0.3706
La 0.5000 0.0000 0.6294
La 0.5000 0.0000 0.8765
Er 0.5000 0.5000 0.5000
In 0.5000 0.5000 0.0000
In 0.5000 0.5000 0.2460
In 0.5000 0.5000 0.7540

Peak list (6 most intense, 2θ from 5° to 70°, low angle first)
Position (°2θ), I_rel
30.36, 100
34.95, 17
35.32, 34
50.54, 24
59.85, 14
60.35, 28

# 9
Calculated XRD peak list
Compound: La5ErIn2
Radiation: Cu Kα
Structure: a DFT-relaxed cell (PBE, Alexandria)
Intensities are scaled so that the largest is 100.

Crystal structure
Unit cell a=7.9715 b=16.5383 c=3.8324 alpha=90.00 beta=90.00 gamma=90.00
Fractional positions:
La 0.0000 0.0000 0.0000
La 0.0156 0.2474 0.0000
La 0.2253 0.8712 0.5000
La 0.2747 0.3712 0.5000
La 0.4844 0.7474 0.0000
La 0.5000 0.5000 0.0000
La 0.5156 0.2526 0.0000
La 0.7253 0.6288 0.5000
La 0.7747 0.1288 0.5000
La 0.9844 0.7526 0.0000
Er 0.0000 0.5000 0.0000
Er 0.5000 0.0000 0.0000
In 0.2291 0.6193 0.5000
In 0.2709 0.1193 0.5000
In 0.7291 0.8807 0.5000
In 0.7709 0.3807 0.5000

Peak list (6 most intense, 2θ from 5° to 70°, low angle first)
Position (°2θ), I_rel
31.17, 100
31.84, 99
32.41, 91
55.52, 38
56.62, 31
57.86, 34

# 10
Calculated XRD peak list
Compound: LaEr7In4
Radiation: Cu Kα
Structure: a DFT-relaxed cell (PBE, Alexandria)
Intensities are scaled so that the largest is 100.

Crystal structure
Unit cell a=7.7213 b=7.7213 c=10.5371 alpha=121.35 beta=121.35 gamma=42.80
Fractional positions:
La 0.0000 0.0000 0.0000
Er 0.0635 0.0635 0.3963
Er 0.2128 0.2128 0.8752
Er 0.2870 0.2870 0.3488
Er 0.5000 0.5000 0.0000
Er 0.7130 0.7130 0.6512
Er 0.7872 0.7872 0.1248
Er 0.9365 0.9365 0.6037
In 0.3183 0.3183 0.6679
In 0.4366 0.4366 0.2352
In 0.5634 0.5634 0.7648
In 0.6817 0.6817 0.3321

Peak list (6 most intense, 2θ from 5° to 70°, low angle first)
Position (°2θ), I_rel
28.46, 54
29.96, 75
30.46, 46
31.76, 100
33.54, 50
36.70, 53

# 11
Calculated XRD peak list
Compound: LaEr6In2
Radiation: Cu Kα
Structure: a DFT-relaxed cell (PBE, Alexandria)
Intensities are scaled so that the largest is 100.

Crystal structure
Unit cell a=6.5905 b=6.5905 c=11.9649 alpha=106.73 beta=106.73 gamma=32.97
Fractional positions:
La 0.0000 0.0000 0.0000
Er 0.0119 0.0119 0.3468
Er 0.3113 0.3113 0.4205
Er 0.3117 0.3117 0.1269
Er 0.6883 0.6883 0.8731
Er 0.6887 0.6887 0.5795
Er 0.9881 0.9881 0.6532
In 0.3526 0.3526 0.7765
In 0.6474 0.6474 0.2235

Peak list (6 most intense, 2θ from 5° to 70°, low angle first)
Position (°2θ), I_rel
31.34, 56
31.87, 47
32.71, 97
32.83, 100
48.70, 18
59.07, 25

# 12
Calculated XRD peak list
Compound: LaTb2ErIn4
Radiation: Cu Kα
Structure: a DFT-relaxed cell (PBE, Alexandria)
Intensities are scaled so that the largest is 100.

Crystal structure
Unit cell a=9.3699 b=9.3699 c=9.3699 alpha=33.38 beta=33.38 gamma=33.38
Fractional positions:
La 0.0000 0.0000 0.0000
Tb 0.2492 0.2492 0.2492
Tb 0.7508 0.7508 0.7508
Er 0.5000 0.5000 0.5000
In 0.1273 0.1273 0.1273
In 0.3776 0.3776 0.3776
In 0.6224 0.6224 0.6224
In 0.8727 0.8727 0.8727

Peak list (6 most intense, 2θ from 5° to 70°, low angle first)
Position (°2θ), I_rel
33.16, 100
33.30, 100
47.70, 36
59.16, 18
59.44, 55
69.92, 11